(1)
For Pa2FeGe3, a crystal structure in Alexandria, relaxed with PBE gives the calculated PXRD pattern in this record (Cu Kα (λ = 1.5418 Å)).
No peak broadening, texture or thermal motion is included.

Structure:
```
Pa2FeGe3
1.0
0.000 4.178 7.087
3.937 0.000 7.087
3.937 4.178 0.000
Pa Fe Ge
4 2 6
direct
0.237 0.763 0.763
0.250 0.250 0.250
0.750 0.750 0.750
0.763 0.237 0.237
0.158 0.158 0.842
0.842 0.842 0.158
0.163 0.664 0.336
0.323 0.323 0.677
0.336 0.837 0.163
0.664 0.163 0.837
0.677 0.677 0.323
0.837 0.336 0.664
```

Peak list (8 most intense, 2θ from 10° to 80°, low angle first)
24.7 deg, rel. 29.9
33.7 deg, rel. 100.0
34.0 deg, rel. 49.6
43.3 deg, rel. 19.7
44.0 deg, rel. 36.6
46.1 deg, rel. 16.0
56.2 deg, rel. 24.0
65.7 deg, rel. 21.6


(2)
For Pa3Fe4Ge2, a crystal structure in Alexandria, relaxed with PBE gives the calculated PXRD pattern in this record (Cu Kα (λ = 1.5418 Å)).
No peak broadening, texture or thermal motion is included.

Structure:
```
Pa3Fe4Ge2
1.0
4.350 -2.135 0.000
4.350 2.135 0.000
-0.356 0.000 8.274
Pa Fe Ge
3 4 2
direct
0.000 0.000 0.000
0.370 0.370 0.607
0.630 0.630 0.393
0.104 0.104 0.637
0.257 0.257 0.917
0.743 0.743 0.083
0.896 0.896 0.363
0.323 0.323 0.214
0.677 0.677 0.786
```

Peak list (8 most intense, 2θ from 10° to 80°, low angle first)
25.8 deg, rel. 100.0
30.5 deg, rel. 37.0
31.5 deg, rel. 55.6
37.5 deg, rel. 55.8
37.9 deg, rel. 31.7
40.7 deg, rel. 54.9
42.3 deg, rel. 47.1
42.9 deg, rel. 35.2


(3)
For Pa4FeGe, a crystal structure in Alexandria, relaxed with PBE gives the calculated PXRD pattern in this record (Cu Kα (λ = 1.5418 Å)).
No peak broadening, texture or thermal motion is included.

Structure:
```
Pa4FeGe
1.0
5.614 0.000 0.000
0.000 5.270 0.000
-1.435 0.000 8.871
Pa Fe Ge
8 2 2
direct
0.036 0.000 0.158
0.100 0.500 0.363
0.400 0.000 0.637
0.464 0.500 0.842
0.536 0.500 0.158
0.600 0.000 0.363
0.900 0.500 0.637
0.964 0.000 0.842
0.000 0.000 0.500
0.500 0.500 0.500
0.000 0.500 0.000
0.500 0.000 0.000
```

Peak list (8 most intense, 2θ from 10° to 80°, low angle first)
26.4 deg, rel. 47.0
32.3 deg, rel. 59.1
32.6 deg, rel. 32.2
34.0 deg, rel. 63.8
36.3 deg, rel. 100.0
40.6 deg, rel. 55.3
47.6 deg, rel. 41.0
62.4 deg, rel. 21.2


(4)
For PmFeGe2Pd, a crystal structure in Alexandria, relaxed with PBE gives the calculated PXRD pattern in this record (Cu Kα (λ = 1.5418 Å)).
No peak broadening, texture or thermal motion is included.

Structure:
```
PmFeGe2Pd
1.0
4.229 0.000 0.000
0.000 4.229 0.000
0.000 0.000 10.198
Pm Fe Ge Pd
2 2 4 2
direct
0.000 0.000 0.000
0.500 0.500 0.500
0.000 0.500 0.250
0.500 0.000 0.750
0.000 0.000 0.375
0.000 0.000 0.625
0.500 0.500 0.125
0.500 0.500 0.875
0.000 0.500 0.750
0.500 0.000 0.250
```

Peak list (8 most intense, 2θ from 10° to 80°, low angle first)
33.8 deg, rel. 72.7
34.8 deg, rel. 100.0
42.8 deg, rel. 61.1
49.6 deg, rel. 24.6
55.6 deg, rel. 34.9
62.1 deg, rel. 19.7
67.5 deg, rel. 19.3
73.2 deg, rel. 21.9